(1)
Starting from a cell relaxed with PBE, the X-ray diffraction stick pattern of LiZr2Se2O2 was simulated for copper Kα.

Most intense lines, 10 to 90 degrees two-theta, low angle first:
two_theta  I/Imax  index
31.59  1000  1 0 2
34.86  483  1 1 0
38.86  337  1 0 3
40.36  244  1 1 2
47.44  145  1 0 4
50.13  257  2 0 0
60.47  297  2 1 2
84.07  147  3 1 0

Atomic structure:
```
LiZr2Se2O2
1.0
3.639 0.000 0.000
0.000 3.639 0.000
0.000 0.000 9.016
Li Zr Se O
1 2 2 2
Direct
0.000 0.000 0.000
0.000 0.500 0.367
0.500 0.000 0.633
0.000 0.500 0.796
0.500 0.000 0.204
0.000 0.000 0.500
0.500 0.500 0.500
```

(2)
Starting from a cell relaxed with PBE, the X-ray diffraction stick pattern of LiSi6O12 was simulated for copper Kα.

Most intense lines, 10 to 90 degrees two-theta, low angle first:
two_theta  I/Imax  index
18.89  327  1 -1 0
19.00  285  1 0 -1
19.78  128  0 1 1
25.33  303  1 -1 1
25.57  1000  1 1 -1
25.79  708  1 -2 0
25.88  156  1 0 -2
27.89  165  -1 2 1

Atomic structure:
```
LiSi6O12
1.0
5.184 0.000 0.000
-2.502 7.058 0.000
-2.421 -1.402 6.971
Li Si O
1 6 12
Direct
0.000 0.000 0.000
0.023 0.406 0.128
0.401 0.685 0.743
0.505 0.821 0.166
0.526 0.234 0.287
0.904 0.860 0.589
0.925 0.275 0.710
0.192 0.802 0.644
0.215 0.271 0.207
0.217 0.455 0.720
0.231 0.633 0.165
0.403 0.009 0.162
0.600 0.795 0.976
0.639 0.239 0.517
0.643 0.704 0.642
0.784 0.386 0.232
0.797 0.871 0.361
0.841 0.314 0.898
0.995 0.073 0.726
```

(3)
Starting from a cell relaxed with PBE, the X-ray diffraction stick pattern of Li4Si2O7 was simulated for copper Kα.

Most intense lines, 10 to 90 degrees two-theta, low angle first:
two_theta  I/Imax  index
19.81  640  1 0 1
22.94  547  1 1 1
25.77  1000  2 1 0
30.54  183  2 1 1
32.55  199  0 0 2
40.37  173  3 1 1
50.05  108  3 3 0
64.96  111  5 2 0

Atomic structure:
```
Li4Si2O7
1.0
7.731 0.000 0.000
0.000 7.731 0.000
0.000 0.000 5.502
Li Si O
8 4 14
Direct
0.070 0.155 0.321
0.155 0.930 0.679
0.345 0.430 0.321
0.430 0.655 0.679
0.570 0.345 0.679
0.655 0.570 0.321
0.845 0.070 0.679
0.930 0.845 0.321
0.151 0.349 0.823
0.349 0.849 0.177
0.651 0.151 0.177
0.849 0.651 0.823
0.000 0.500 0.799
0.082 0.175 0.687
0.175 0.918 0.313
0.180 0.320 0.113
0.320 0.820 0.887
0.325 0.418 0.687
0.418 0.675 0.313
0.500 0.000 0.201
0.582 0.325 0.313
0.675 0.582 0.687
0.680 0.180 0.887
0.820 0.680 0.113
0.825 0.082 0.313
0.918 0.825 0.687
```

(4)
Starting from a cell relaxed with PBE, the X-ray diffraction stick pattern of Li4SiO4 was simulated for copper Kα.

Most intense lines, 10 to 90 degrees two-theta, low angle first:
two_theta  I/Imax  index
21.66  766  0 1 -1
22.09  530  0 1 1
22.37  1000  1 0 1
23.79  626  1 1 0
27.98  463  -1 1 1
33.17  967  0 1 -2
33.82  623  0 1 2
34.46  775  2 0 0

Atomic structure:
```
Li4SiO4
1.0
5.205 0.000 0.000
-0.027 5.409 0.000
0.000 -0.121 6.154
Li Si O
8 2 8
Direct
0.000 0.000 0.000
0.009 0.456 0.143
0.247 0.674 0.435
0.263 0.131 0.665
0.284 0.653 0.898
0.680 0.773 0.203
0.690 0.323 0.868
0.889 0.281 0.457
0.413 0.164 0.181
0.755 0.796 0.676
0.273 0.309 0.384
0.313 0.303 0.958
0.319 0.870 0.164
0.442 0.811 0.668
0.733 0.172 0.177
0.850 0.658 0.908
0.862 0.647 0.457
0.881 0.077 0.701
```